Simulated powder X-ray diffraction pattern of LaGa9Fe2 for λ = 1.5418 Å (Cu Kα), from DFT lattice parameters and positions (GGA-PBE).
Neutral-atom scattering factors, no anomalous dispersion.

Top 10 peaks for 2θ from 5° to 70°, by intensity:
- hkl 2 0 1, 35.1 deg, 2.559 Å, I 100.0
- hkl 2 2 0, 45.7 deg, 1.986 Å, I 41.9
- hkl 1 1 1, 32.5 deg, 2.757 Å, I 33.2
- hkl 2 1 1, 42.0 deg, 2.151 Å, I 31.4
- hkl 2 1 0, 34.5 deg, 2.600 Å, I 29.2
- hkl 3 0 1, 46.1 deg, 1.967 Å, I 29.0
- hkl 0 0 2, 47.5 deg, 1.915 Å, I 25.1
- hkl 2 2 2, 68.0 deg, 1.378 Å, I 24.3
- hkl 2 2 1, 51.9 deg, 1.763 Å, I 12.8
- hkl 2 1 2, 60.0 deg, 1.542 Å, I 11.8

Structural model:
```
12
Lattice="7.944 0.000 0.000 -3.972 6.880 0.000 0.000 0.000 3.829" Properties=species:S:1:pos:R:3 pbc="T T T"
La 0.000 0.000 0.000
Ga -1.986 3.440 0.000
Ga 0.000 2.839 1.915
Ga -1.513 5.460 1.915
Ga 2.459 1.420 1.915
Ga 3.972 0.000 0.000
Ga 1.986 3.440 0.000
Ga 1.513 5.460 1.915
Ga 5.485 1.420 1.915
Ga 3.972 4.041 1.915
Fe 0.000 4.587 0.000
Fe 3.972 2.293 0.000
```